Entry 1:
# TlIn4Te7
Calculated powder X-ray diffraction pattern, λ = 1.5418 Å (Cu Kα). Input: a crystal structure in Alexandria, relaxed with PBE.

Main lines, by intensity (2θ from 10° to 90°):
2θ (°)	intensity	index
24.5	100	4 1 0
24.6	85	0 0 2
35.0	51	4 1 2
45.1	34	4 1 3
26.1	29	0 2 1
27.4	29	4 1 1
41.2	26	4 3 0
28.1	26	3 2 0
25.4	26	2 2 0
43.9	24	8 0 0

```
TlIn4Te7
1.0
16.4841 0.0000 0.0000
0.0000 7.7640 0.0000
0.0000 0.0000 7.2293
Tl In Te
2 8 14
direct
0.0000 0.0320 0.0000
0.5000 0.9680 0.5000
0.1244 0.3296 0.5833
0.2411 0.8211 0.5700
0.2589 0.1789 0.0700
0.3756 0.6704 0.0833
0.6244 0.6704 0.0833
0.7411 0.1789 0.0700
0.7589 0.8211 0.5700
0.8756 0.3296 0.5833
0.0000 0.0998 0.4812
0.1034 0.6575 0.4143
0.1211 0.3741 0.9723
0.2246 0.8280 0.9693
0.2754 0.1720 0.4693
0.3789 0.6259 0.4723
0.3966 0.3425 0.9143
0.5000 0.9002 0.9812
0.6034 0.3425 0.9143
0.6211 0.6259 0.4723
0.7246 0.1720 0.4693
0.7754 0.8280 0.9693
0.8789 0.3741 0.9723
0.8966 0.6575 0.4143
```

***

Entry 2:
# Ho4HgAsSe2
Calculated powder X-ray diffraction pattern, λ = 1.5418 Å (Cu Kα). Input: a crystal structure in Alexandria, relaxed with PBE.

Main lines, by intensity (2θ from 10° to 90°):
2θ (°)	intensity	index
30.6	100	1 1 1
30.5	51	2 0 -2
43.7	38	1 1 -3
43.9	37	3 1 -1
43.0	20	2 0 2
55.2	19	2 2 -2
44.8	18	0 2 0
63.8	12	2 2 2
53.4	10	0 0 4
53.8	10	4 0 0

```
Ho4HgAsSe2
1.0
7.1886 0.0000 0.0000
0.0000 4.0486 0.0000
-2.3098 0.0000 6.8572
Ho Hg As Se
4 1 1 2
direct
0.2408 0.0000 0.2447
0.2422 0.5000 0.7462
0.7578 0.5000 0.2538
0.7592 0.0000 0.7553
0.5000 0.0000 0.0000
0.0000 0.5000 0.0000
0.0000 0.0000 0.5000
0.5000 0.5000 0.5000
```